This entry pairs a crystal structure of CsTbMnF6 with its calculated powder X-ray diffraction pattern. Radiation: Cu Kα (weighted mean of Kα1 and Kα2). Structure: a crystal structure in Alexandria, relaxed with GGA+U.
Intensities are scaled so that the largest is 100.

Principal peaks in the range 2θ = 10–90°, sorted by position:
13.99°, 6.329 Å, I 13
22.21°, 4.002 Å, I 100
29.96°, 2.982 Å, I 29
33.20°, 2.698 Å, I 11
37.61°, 2.391 Å, I 20
41.59°, 2.172 Å, I 23
41.65°, 2.169 Å, I 18
46.50°, 1.953 Å, I 13
48.76°, 1.867 Å, I 11
48.86°, 1.864 Å, I 13

Atomic structure:
Cell: 5.9604 5.9604 6.3292 Å, 90.05 90.05 119.86°
Sites, in units of the cell vectors:
Cs1 0.0000 0.0000 0.0000
Tb1 0.6667 0.3333 0.5000
Mn1 0.3333 0.6667 0.5000
F1 0.0041 0.3938 0.6879
F2 0.0063 0.6130 0.3149
F3 0.3870 0.9937 0.6851
F4 0.3889 0.3960 0.3130
F5 0.6040 0.6111 0.6870
F6 0.6062 0.9959 0.3121